Diffraction record for TiAl2O5. The powder XRD pattern is calculated, not measured: it uses a structure optimized by DFT (PBE) and Cu Kα (λ = 1.5418 Å).
Kinematic intensities with the Lorentz-polarization factor, no thermal factor.

Largest 6 diffraction maxima, most intense first, 5° ≤ 2θ ≤ 70°:
Position (°2θ)  I (rel.)
26.12  100
33.65  68
49.94  37
18.59  31
47.47  23
61.57  21

Structural model:
a b c (Å): 3.6524 9.5480 9.6287
angles (deg): 90.00 90.00 90.00
Space group Cmc2_1 (No. 36)
Symmetry-distinct sites (fractional):
1 Ti 0.0000 0.1264 0.0000 [4 per cell]
2 Al 0.0000 0.1419 0.6313 [4 per cell]
3 Al 0.0000 0.1895 0.3077 [4 per cell]
4 O 0.0000 0.0438 0.1819 [4 per cell]
5 O 0.0000 0.0589 0.4504 [4 per cell]
6 O 0.0000 0.2467 0.8068 [4 per cell]
7 O 0.0000 0.3066 0.1358 [4 per cell]
8 O 0.0000 0.3175 0.4798 [4 per cell]


Diffraction record for Ta5Mo3. The powder XRD pattern is calculated, not measured: it uses a structure optimized by DFT (PBE) and Cu Kα (λ = 1.5418 Å).
Kinematic intensities with the Lorentz-polarization factor, no thermal factor.

Largest 6 diffraction maxima, most intense first, 5° ≤ 2θ ≤ 70°:
Position (°2θ)  I (rel.)
39.12  100
38.54  26
39.91  24
56.69  17
56.34  8
20.81  7

Structural model:
a b c (Å): 4.5173 4.6721 13.0631
angles (deg): 90.00 90.00 90.00
Space group Immm (No. 71)
Symmetry-distinct sites (fractional):
1 Ta 0.0000 0.0000 0.0000 [2 per cell]
2 Ta 0.0000 0.0000 0.2478 [4 per cell]
3 Ta 0.0000 0.5000 0.1201 [4 per cell]
4 Mo 0.0000 0.0000 0.5000 [2 per cell]
5 Mo 0.0000 0.5000 0.3741 [4 per cell]